# 1
This entry pairs a crystal structure of AlTl2S8 with its computed powder X-ray diffraction pattern. Radiation: Cu Kα X-rays. Structure: a cell relaxed with GGA-PBE.
Peak positions follow from Bragg's law for the DFT cell and can differ from measured ones.

```
AlTl2S8
1.0
5.703 0.000 0.000
-2.197 6.995 0.000
-2.824 -2.888 7.356
Al Tl S
1 2 8
direct
0.000 0.000 0.000 Al
0.186 0.647 0.392 Tl
0.814 0.353 0.608 Tl
0.058 0.842 0.754 S
0.241 0.036 0.302 S
0.427 0.435 0.776 S
0.434 0.284 0.048 S
0.566 0.716 0.952 S
0.573 0.565 0.224 S
0.759 0.964 0.698 S
0.942 0.158 0.246 S
```

The 10 most intense peaks (5° ≤ 2θ ≤ 70°), sorted by position:
| d/Å | Position (°2θ) | I_rel |
| --- | --- | --- |
| 7.356 | 12.03 | 50 |
| 6.511 | 13.60 | 27 |
| 4.513 | 19.67 | 39 |
| 4.176 | 21.27 | 27 |
| 3.861 | 23.03 | 100 |
| 3.485 | 25.56 | 33 |
| 3.441 | 25.89 | 49 |
| 3.054 | 29.25 | 34 |
| 2.703 | 33.15 | 24 |
| 2.637 | 34.00 | 27 |

# 2
This entry pairs a crystal structure of Tm3AlTl4S8 with its computed powder X-ray diffraction pattern. Radiation: Cu Kα X-rays. Structure: a cell relaxed with GGA-PBE.
Peak positions follow from Bragg's law for the DFT cell and can differ from measured ones.

```
Tm3AlTl4S8
1.0
3.895 2.249 7.531
-3.895 2.249 7.531
0.000 -4.498 7.531
Tm Al Tl S
3 1 4 8
direct
0.000 0.500 0.500 Tm
0.500 0.000 0.500 Tm
0.500 0.500 0.000 Tm
0.000 0.000 0.000 Al
0.000 0.000 0.500 Tl
0.000 0.500 0.000 Tl
0.500 0.000 0.000 Tl
0.500 0.500 0.500 Tl
0.218 0.218 0.751 S
0.218 0.751 0.218 S
0.249 0.782 0.782 S
0.268 0.268 0.268 S
0.732 0.732 0.732 S
0.751 0.218 0.218 S
0.782 0.249 0.782 S
0.782 0.782 0.249 S
```

The 10 most intense peaks (5° ≤ 2θ ≤ 70°), sorted by position:
| d/Å | Position (°2θ) | I_rel |
| --- | --- | --- |
| 3.765 | 23.63 | 35 |
| 3.232 | 27.60 | 62 |
| 2.896 | 30.87 | 100 |
| 2.165 | 41.71 | 39 |
| 1.948 | 46.63 | 33 |
| 1.877 | 48.50 | 19 |
| 1.730 | 52.93 | 25 |
| 1.616 | 56.98 | 17 |
| 1.448 | 64.33 | 11 |
| 1.354 | 69.43 | 15 |

# 3
This entry pairs a crystal structure of U3AlTl3S8 with its computed powder X-ray diffraction pattern. Radiation: Cu Kα X-rays. Structure: a cell relaxed with GGA-PBE.
Peak positions follow from Bragg's law for the DFT cell and can differ from measured ones.

```
U3AlTl3S8
1.0
3.922 2.265 7.665
-3.922 2.265 7.665
0.000 -4.529 7.665
U Al Tl S
3 1 3 8
direct
0.000 0.500 0.500 U
0.500 0.000 0.500 U
0.500 0.500 0.000 U
0.000 0.000 0.000 Al
0.000 0.000 0.500 Tl
0.000 0.500 0.000 Tl
0.500 0.000 0.000 Tl
0.214 0.214 0.754 S
0.214 0.754 0.214 S
0.246 0.786 0.786 S
0.267 0.267 0.267 S
0.733 0.733 0.733 S
0.754 0.214 0.214 S
0.786 0.246 0.786 S
0.786 0.786 0.246 S
```

The 10 most intense peaks (5° ≤ 2θ ≤ 70°), sorted by position:
| d/Å | Position (°2θ) | I_rel |
| --- | --- | --- |
| 5.849 | 15.15 | 34 |
| 3.833 | 23.21 | 34 |
| 3.258 | 27.38 | 61 |
| 2.924 | 30.57 | 100 |
| 2.194 | 41.14 | 39 |
| 1.961 | 46.29 | 33 |
| 1.904 | 47.76 | 20 |
| 1.746 | 52.41 | 26 |
| 1.629 | 56.50 | 17 |
| 1.371 | 68.46 | 17 |